# 1
This entry pairs a crystal structure of Li2Ho3Mg9 with its theoretical powder diffractogram. Radiation: λ = 1.5418 Å (Cu Kα). Structure: a structure optimized by DFT (GGA-PBE).

Most intense lines, 15 to 90 degrees two-theta, in order of rising 2θ:
15.7 deg, intensity 88
19.4 deg, intensity 97
23.4 deg, intensity 29
28.4 deg, intensity 33
29.7 deg, intensity 77
32.6 deg, intensity 100
33.6 deg, intensity 46
35.6 deg, intensity 63
35.9 deg, intensity 39
50.0 deg, intensity 30

Structural model:
```
14
Lattice="-2.504 5.643 6.055 2.504 -5.643 6.055 2.504 5.643 -6.055" Properties=species:S:1:pos:R:3 pbc="T T T"
Li 0.000 1.743 0.000
Li 0.000 9.544 0.000
Ho 0.000 0.000 2.657
Ho 0.000 0.000 6.055
Ho 0.000 0.000 9.452
Mg 2.504 0.000 0.000
Mg 2.504 2.593 -1.679
Mg 2.504 -1.452 4.449
Mg 2.504 2.593 1.679
Mg 2.504 1.452 4.449
Mg 0.000 4.191 1.605
Mg 0.000 3.050 4.376
Mg 0.000 7.095 1.605
Mg 0.000 3.050 7.734
```

# 2
This entry pairs a crystal structure of Li4HoMg15 with its theoretical powder diffractogram. Radiation: λ = 1.5418 Å (Cu Kα). Structure: a structure optimized by DFT (GGA-PBE).

Most intense lines, 15 to 90 degrees two-theta, in order of rising 2θ:
20.1 deg, intensity 31
21.3 deg, intensity 27
23.1 deg, intensity 21
25.4 deg, intensity 15
32.4 deg, intensity 14
34.6 deg, intensity 100
40.1 deg, intensity 38
40.3 deg, intensity 20
58.2 deg, intensity 22
69.3 deg, intensity 26

Structural model:
```
20
Lattice="4.499 0.000 0.000 0.000 4.499 0.000 0.000 0.000 22.349" Properties=species:S:1:pos:R:3 pbc="T T T"
Li 0.000 0.000 2.149
Li 0.000 0.000 6.622
Li 0.000 0.000 15.727
Li 0.000 0.000 20.201
Ho 0.000 0.000 11.175
Mg 0.000 2.249 0.000
Mg 0.000 2.249 4.365
Mg 0.000 2.249 8.777
Mg 0.000 2.249 13.573
Mg 0.000 2.249 17.985
Mg 2.249 0.000 0.000
Mg 2.249 0.000 4.365
Mg 2.249 0.000 8.777
Mg 2.249 0.000 13.573
Mg 2.249 0.000 17.985
Mg 2.249 2.249 2.188
Mg 2.249 2.249 6.520
Mg 2.249 2.249 11.175
Mg 2.249 2.249 15.829
Mg 2.249 2.249 20.161
```

# 3
This entry pairs a crystal structure of LiHoMg5 with its theoretical powder diffractogram. Radiation: λ = 1.5418 Å (Cu Kα). Structure: a structure optimized by DFT (GGA-PBE).

Most intense lines, 15 to 90 degrees two-theta, in order of rising 2θ:
17.3 deg, intensity 100
21.9 deg, intensity 68
23.7 deg, intensity 26
32.2 deg, intensity 44
32.9 deg, intensity 21
33.5 deg, intensity 52
35.1 deg, intensity 46
35.6 deg, intensity 20
39.8 deg, intensity 32
57.5 deg, intensity 22

Structural model:
```
7
Lattice="3.096 -4.549 0.000 3.096 4.549 0.000 -0.015 0.000 6.628" Properties=species:S:1:pos:R:3 pbc="T T T"
Li 0.000 0.000 0.000
Ho 3.089 0.000 3.314
Mg 4.642 -2.272 1.610
Mg 1.536 2.272 5.018
Mg 4.642 2.272 1.610
Mg 1.536 -2.272 5.018
Mg 3.096 0.000 0.000
```

# 4
This entry pairs a crystal structure of Li2HoMg9 with its theoretical powder diffractogram. Radiation: λ = 1.5418 Å (Cu Kα). Structure: a structure optimized by DFT (GGA-PBE).

Most intense lines, 15 to 90 degrees two-theta, in order of rising 2θ:
20.7 deg, intensity 56
23.7 deg, intensity 37
28.7 deg, intensity 25
30.9 deg, intensity 24
33.0 deg, intensity 26
34.4 deg, intensity 100
39.9 deg, intensity 33
52.7 deg, intensity 17
57.6 deg, intensity 21
68.9 deg, intensity 25

Structural model:
```
12
Lattice="4.516 0.000 0.000 0.000 4.516 0.000 0.000 0.000 13.601" Properties=species:S:1:pos:R:3 pbc="T T T"
Li 0.000 0.000 2.269
Li 0.000 0.000 11.332
Ho 0.000 0.000 6.801
Mg 0.000 2.258 0.000
Mg 0.000 2.258 4.398
Mg 0.000 2.258 9.203
Mg 2.258 0.000 0.000
Mg 2.258 0.000 4.398
Mg 2.258 0.000 9.203
Mg 2.258 2.258 2.142
Mg 2.258 2.258 6.801
Mg 2.258 2.258 11.460
```

# 5
This entry pairs a crystal structure of LiHoMg3 with its theoretical powder diffractogram. Radiation: λ = 1.5418 Å (Cu Kα). Structure: a structure optimized by DFT (GGA-PBE).

Most intense lines, 15 to 90 degrees two-theta, in order of rising 2θ:
18.4 deg, intensity 100
27.5 deg, intensity 28
27.7 deg, intensity 28
29.6 deg, intensity 45
33.3 deg, intensity 35
34.0 deg, intensity 61
35.8 deg, intensity 30
36.6 deg, intensity 35
37.8 deg, intensity 30
49.7 deg, intensity 23

Structural model:
```
10
Lattice="8.849 -2.507 0.000 8.849 2.507 0.000 -0.569 0.000 5.380" Properties=species:S:1:pos:R:3 pbc="T T T"
Li 2.972 0.000 0.829
Li 14.157 0.000 4.551
Ho 7.325 0.000 3.851
Ho 9.804 0.000 1.529
Mg 0.571 0.000 4.001
Mg 3.922 0.000 3.540
Mg 5.922 0.000 0.950
Mg 11.207 0.000 4.430
Mg 13.207 0.000 1.841
Mg 16.558 0.000 1.379
```

# 6
This entry pairs a crystal structure of SrLiHoMg with its theoretical powder diffractogram. Radiation: λ = 1.5418 Å (Cu Kα). Structure: a structure optimized by DFT (GGA-PBE).

Most intense lines, 15 to 90 degrees two-theta, in order of rising 2θ:
19.4 deg, intensity 17
22.5 deg, intensity 73
32.0 deg, intensity 100
39.5 deg, intensity 23
45.9 deg, intensity 18
51.7 deg, intensity 32
57.0 deg, intensity 38
66.9 deg, intensity 12
71.6 deg, intensity 15
76.1 deg, intensity 16

Structural model:
```
4
Lattice="0.000 3.956 3.956 3.956 0.000 3.956 3.956 3.956 0.000" Properties=species:S:1:pos:R:3 pbc="T T T"
Sr 0.000 0.000 0.000
Li 5.934 5.934 5.934
Ho 3.956 3.956 3.956
Mg 1.978 1.978 1.978
```